(1)
Structure and calculated XRD peak list of TiPd4Au (a structure optimized by DFT (PBE); CuKα).

Largest 6 diffraction maxima, in order of rising 2θ, 5 to 70 degrees two-theta:
4.040 Å, I = 27; 2.302 Å, I = 100; 2.288 Å, I = 98; 1.995 Å, I = 65; 1.972 Å, I = 31; 1.403 Å, I = 50

Atomic structure:
```
data_TiPd4Au
_chemical_formula_sum 'Ti4 Pd16 Au4'
_space_group_name_H-M_alt 'C m m e'
_space_group_IT_number 67
_space_group_name_Hall '-C 2a 2'
_cell_length_a 5.6693
_cell_length_b 7.8898
_cell_length_c 8.4259
_cell_angle_alpha 90.00
_cell_angle_beta 90.00
_cell_angle_gamma 90.00
loop_
_atom_site_label
_atom_site_type_symbol
_atom_site_fract_x
_atom_site_fract_y
_atom_site_fract_z
_atom_site_occupancy
Ti1 Ti 0.0000 0.2500 0.1771 1
Pd1 Pd 0.0000 0.2500 0.4929 1
Pd2 Pd 0.2500 0.0000 0.0000 1
Pd3 Pd 0.2500 0.0000 0.3317 1
Au1 Au 0.0000 0.2500 0.8347 1
```

=====

(2)
Structure and calculated XRD peak list of Tm3Hg2Pd2 (a structure optimized by DFT (PBE); CuKα).

Largest 6 diffraction maxima, in order of rising 2θ, 5 to 70 degrees two-theta:
2.641 Å, I = 100; 2.601 Å, I = 70; 2.473 Å, I = 65; 1.953 Å, I = 24; 1.562 Å, I = 30; 1.464 Å, I = 30

Atomic structure:
```
data_Tm3Hg2Pd2
_chemical_formula_sum 'Tm6 Hg4 Pd4'
_space_group_name_H-M_alt 'C m m m'
_space_group_IT_number 65
_space_group_name_Hall '-C 2 2'
_cell_length_a 3.9059
_cell_length_b 22.3643
_cell_length_c 3.6323
_cell_angle_alpha 90.00
_cell_angle_beta 90.00
_cell_angle_gamma 90.00
loop_
_atom_site_label
_atom_site_type_symbol
_atom_site_fract_x
_atom_site_fract_y
_atom_site_fract_z
_atom_site_occupancy
Tm1 Tm 0.0000 0.0000 0.0000 1
Tm2 Tm 0.0000 0.1666 0.0000 1
Hg1 Hg 0.0000 0.4214 0.5000 1
Pd1 Pd 0.0000 0.2912 0.5000 1
```

=====

(3)
Structure and calculated XRD peak list of Cd2Cu2Pd7 (a structure optimized by DFT (PBE); CuKα).

Largest 6 diffraction maxima, in order of rising 2θ, 5 to 70 degrees two-theta:
3.232 Å, I = 43; 2.986 Å, I = 52; 2.528 Å, I = 47; 2.271 Å, I = 63; 2.039 Å, I = 100; 1.987 Å, I = 32

Atomic structure:
```
data_Cd2Cu2Pd7
_chemical_formula_sum 'Cd4 Cu4 Pd14'
_space_group_name_H-M_alt 'C m m m'
_space_group_IT_number 65
_space_group_name_Hall '-C 2 2'
_cell_length_a 7.9270
_cell_length_b 9.0831
_cell_length_c 5.5818
_cell_angle_alpha 90.00
_cell_angle_beta 90.00
_cell_angle_gamma 90.00
loop_
_atom_site_label
_atom_site_type_symbol
_atom_site_fract_x
_atom_site_fract_y
_atom_site_fract_z
_atom_site_occupancy
Cd1 Cd 0.1801 0.0000 0.0000 1
Cu1 Cu 0.0000 0.2754 0.5000 1
Pd1 Pd 0.0000 0.0000 0.5000 1
Pd2 Pd 0.0000 0.5000 0.2393 1
Pd3 Pd 0.2500 0.2500 0.2454 1
```